Diffraction record for PmMgTcO6. The powder X-ray diffraction pattern is computed, not measured: it uses a structure optimized by DFT (GGA-PBE) and Cu Ka.
Intensities are scaled so that the largest is 100.

Crystal structure
Unit cell a=5.2214 b=5.2214 c=5.0082 alpha=90.00 beta=90.00 gamma=120.00
Space group P312 (No. 149)
Asymmetric unit:
Pm 0.0000 0.0000 0.0000 x1
Mg 0.3333 0.6667 0.5000 x1
Tc 0.6667 0.3333 0.5000 x1
O 0.3758 0.0249 0.7155 x6

Most intense lines, 10 to 90 degrees two-theta, in order of rising 2θ:
h k l  d (Å)  Position (°2θ)  I/Imax
1 0 0  4.522  19.63  22.2
1 0 1  3.356  26.56  100.0
1 1 0  2.611  34.35  26.1
1 0 2  2.191  41.21  7.4
2 0 1  2.061  43.94  23.7
2 -1 2  1.807  50.50  33.1
3 -1 1  1.618  56.93  23.1
1 0 3  1.566  58.98  9.7
3 0 0  1.507  61.52  10.7
3 1 1  1.217  78.64  9.2
2 1 3  1.194  80.41  8.6
2 2 2  1.158  83.52  6.9